1.
Structure and simulated powder diffraction line list of PmAl6Fe6 (a structure optimized by DFT (PBE); λ = 1.5418 Å (Cu Kα)).

Peak list (6 most intense, 5° ≤ 2θ ≤ 70°, by angle)
Position (°2θ)  intensity
14.5  42
29.3  73
41.7  100
41.8  91
42.2  41
60.8  41

Structure:
Unit cell a=6.5900 b=6.5900 c=6.5900 alpha=135.42 beta=98.98 gamma=97.56
Atoms (fractional coordinates):
Pm 0.0000 0.0000 0.0000
Al 0.1962 0.6962 0.5000
Al 0.3391 0.0000 0.3391
Al 0.3480 0.3480 0.0000
Al 0.6520 0.6520 0.0000
Al 0.6609 0.0000 0.6609
Al 0.8038 0.3038 0.5000
Fe 0.0000 0.0000 0.5000
Fe 0.0000 0.5000 0.0000
Fe 0.2412 0.5000 0.7412
Fe 0.5000 0.0000 0.0000
Fe 0.5000 0.5000 0.5000
Fe 0.7588 0.5000 0.2588

2.
Structure and simulated powder diffraction line list of HoCo6B3 (a structure optimized by DFT (PBE); λ = 1.5418 Å (Cu Kα)).

Peak list (6 most intense, 5° ≤ 2θ ≤ 70°, by angle)
Position (°2θ)  intensity
33.1  20
33.2  19
36.1  18
39.2  19
42.0  100
46.1  18

Structure:
Unit cell a=4.9621 b=5.0259 c=5.5054 alpha=85.40 beta=63.57 gamma=60.45
Atoms (fractional coordinates):
Ho 0.0000 0.0000 0.0000
Co 0.1108 0.4677 0.7864
Co 0.2576 0.1028 0.3999
Co 0.3061 0.5790 0.3103
Co 0.6350 0.4645 0.7850
Co 0.6874 0.9483 0.6711
Co 0.8068 0.5733 0.3107
B 0.3288 0.2962 0.0458
B 0.5886 0.3226 0.4903
B 0.5913 0.7681 0.0490

3.
Structure and simulated powder diffraction line list of SrErOs2O8 (a structure optimized by DFT (PBE); λ = 1.5418 Å (Cu Kα)).

Peak list (6 most intense, 5° ≤ 2θ ≤ 70°, by angle)
Position (°2θ)  intensity
21.4  100
30.2  63
30.5  51
43.5  27
48.8  23
53.9  22

Structure:
Unit cell a=5.9111 b=5.9111 c=7.1437 alpha=90.00 beta=90.00 gamma=120.00
Atoms (fractional coordinates):
Sr 0.0000 0.0000 0.0000
Er 0.0000 0.0000 0.5000
Os 0.3333 0.6667 0.7858
Os 0.6667 0.3333 0.2142
O 0.1615 0.3230 0.7080
O 0.1615 0.8385 0.7080
O 0.3230 0.1615 0.2920
O 0.3333 0.6667 0.0373
O 0.6667 0.3333 0.9627
O 0.6770 0.8385 0.7080
O 0.8385 0.1615 0.2920
O 0.8385 0.6770 0.2920

4.
Structure and simulated powder diffraction line list of MgScTc (a structure optimized by DFT (PBE); λ = 1.5418 Å (Cu Kα)).

Peak list (6 most intense, 5° ≤ 2θ ≤ 70°, by angle)
Position (°2θ)  intensity
12.9  90
33.0  18
35.6  100
39.4  19
42.5  70
59.0  20

Structure:
Unit cell a=3.1303 b=3.1303 c=6.8601 alpha=90.00 beta=90.00 gamma=120.00
Atoms (fractional coordinates):
Mg 0.0000 0.0000 0.0000
Sc 0.6667 0.3333 0.4051
Tc 0.3333 0.6667 0.6877

5.
Structure and simulated powder diffraction line list of Al7Ag2 (a structure optimized by DFT (PBE); λ = 1.5418 Å (Cu Kα)).

Peak list (6 most intense, 5° ≤ 2θ ≤ 70°, by angle)
Position (°2θ)  intensity
12.2  76
24.3  25
37.2  32
38.8  100
44.6  66
63.8  22

Structure:
Unit cell a=4.9061 b=4.9061 c=7.2510 alpha=90.00 beta=90.00 gamma=120.00
Atoms (fractional coordinates):
Al 0.0000 0.0000 0.0000
Al 0.0000 0.3326 0.3338
Al 0.0000 0.6674 0.6662
Al 0.3326 0.0000 0.3338
Al 0.3326 0.3326 0.6662
Al 0.6674 0.0000 0.6662
Al 0.6674 0.6674 0.3338
Ag 0.3333 0.6667 0.0000
Ag 0.6667 0.3333 0.0000

6.
Structure and simulated powder diffraction line list of SrLiMg (a structure optimized by DFT (PBE); λ = 1.5418 Å (Cu Kα)).

Peak list (6 most intense, 5° ≤ 2θ ≤ 70°, by angle)
Position (°2θ)  intensity
19.2  35
24.3  100
28.3  47
33.8  27
37.5  30
45.2  37

Structure:
Unit cell a=9.1902 b=9.1902 c=9.1902 alpha=149.76 beta=149.76 gamma=43.29
Atoms (fractional coordinates):
Sr 0.1697 0.1697 0.0000
Sr 0.8303 0.8303 0.0000
Li 0.3962 0.3962 0.0000
Li 0.6038 0.6038 0.0000
Mg 0.0000 0.5000 0.5000
Mg 0.5000 0.0000 0.5000